# Ge
Calculated X-ray powder pattern, CuKα. Input: a crystal structure in Alexandria, relaxed with PBE.
Intensities are scaled so that the largest is 100.

Most intense lines, 2θ from 15° to 90°, sorted by position:
| 2θ/deg | I/Imax |
| --- | --- |
| 26.9 | 100 |
| 44.6 | 75 |
| 52.8 | 45 |
| 64.9 | 12 |
| 71.5 | 18 |
| 82.1 | 24 |
| 88.3 | 14 |

Lattice parameters (Å, degrees): 5.7508 5.7508 5.7508 90.00 90.00 90.00
Space group Fd-3m (No. 227, origin choice 2)
One atom of each set of equivalent atoms:
1 Ge 0.1250 0.1250 0.1250 [8 per cell]

# Co8H4Rh
Calculated X-ray powder pattern, CuKα. Input: a crystal structure in Alexandria, relaxed with PBE.
Intensities are scaled so that the largest is 100.

Most intense lines, 2θ from 15° to 90°, sorted by position:
| 2θ/deg | I/Imax |
| --- | --- |
| 40.4 | 30 |
| 40.5 | 14 |
| 43.5 | 50 |
| 44.7 | 100 |
| 47.1 | 59 |
| 47.3 | 30 |
| 64.8 | 12 |
| 73.0 | 20 |
| 79.0 | 16 |
| 89.0 | 23 |

```
data_Co8H4Rh
_cell_length_a 12.5652
_cell_length_b 2.6016
_cell_length_c 8.6474
_cell_angle_alpha 90.00
_cell_angle_beta 129.39
_cell_angle_gamma 90.00
_symmetry_space_group_name_H-M 'C 1 2/m 1'
_symmetry_Int_Tables_number 12
loop_
_symmetry_equiv_pos_as_xyz
'x,y,z'
'-x,-y,-z'
'-x,y,-z'
'x,-y,z'
'x+1/2,y+1/2,z'
'-x+1/2,-y+1/2,-z'
'-x+1/2,y+1/2,-z'
'x+1/2,-y+1/2,z'
loop_
_atom_site_label
_atom_site_type_symbol
_atom_site_fract_x
_atom_site_fract_y
_atom_site_fract_z
_atom_site_occupancy
Co1 Co 0.0369 0.0000 0.2367 1
Co2 Co 0.1271 0.5000 0.0916 1
Co3 Co 0.1656 0.5000 0.8315 1
Co4 Co 0.2059 0.5000 0.5778 1
H1 H 0.1492 0.0000 0.9637 1
H2 H 0.1657 0.5000 0.3324 1
Rh1 Rh 0.0000 0.0000 0.5000 1
```